1.
Simulated powder XRD pattern of Li9Mn2Co5O16 for Cu Kα (weighted mean of Kα1 and Kα2), from a DFT-relaxed cell (PBE+U, the Materials Project).
Intensities are scaled so that the largest is 100.

Cell and atoms:
abc: 5.903 5.914 8.128
angles: 90.87 90.74 92.99
Positions (direct):
1 Li 0.000 0.000 0.000
2 Li 0.000 0.499 0.501
3 Li 0.243 0.246 0.257
4 Li 0.246 0.753 0.746
5 Li 0.497 0.998 0.999
6 Li 0.498 0.498 0.500
7 Li 0.753 0.753 0.742
8 Li 0.754 0.246 0.254
9 Li 0.999 0.001 0.500
10 Mn 0.749 0.752 0.253
11 Mn 0.753 0.244 0.749
12 Co 0.243 0.757 0.256
13 Co 0.249 0.247 0.746
14 Co 0.497 0.498 0.000
15 Co 0.501 0.002 0.501
16 Co 0.996 0.501 0.999
17 O 0.233 0.735 0.007
18 O 0.250 0.248 0.516
19 O 0.262 0.263 0.987
20 O 0.269 0.763 0.490
21 O 0.498 0.516 0.237
22 O 0.509 0.467 0.761
23 O 0.516 0.004 0.743
24 O 0.519 0.982 0.257
25 O 0.730 0.737 0.010
26 O 0.731 0.236 0.513
27 O 0.751 0.746 0.483
28 O 0.763 0.262 0.989
29 O 0.980 0.519 0.240
30 O 0.984 0.494 0.760
31 O 0.990 0.034 0.751
32 O 0.994 0.980 0.247

Most intense lines, 5 to 70 degrees two-theta, by angle:
- (0 1 -1), 2θ = 18.43°, rel. 100
- (-2 1 1), 2θ = 35.04°, rel. 16
- (2 1 1), 2θ = 36.71°, rel. 24
- (0 2 -2), 2θ = 37.41°, rel. 8
- (2 -2 0), 2θ = 42.17°, rel. 30
- (2 2 0), 2θ = 44.58°, rel. 50
- (2 -1 3), 2θ = 47.73°, rel. 9
- (2 3 -1), 2θ = 58.65°, rel. 9
- (4 0 0), 2θ = 63.05°, rel. 15
- (2 2 4), 2θ = 65.62°, rel. 11

2.
Simulated powder XRD pattern of Li4Co2Ni3O10 for Cu Kα (weighted mean of Kα1 and Kα2), from a DFT-relaxed cell (PBE+U, the Materials Project).
Intensities are scaled so that the largest is 100.

Cell and atoms:
abc: 5.808 2.869 20.660
angles: 90.00 97.21 90.00
Positions (direct):
1 Li 0.000 0.000 0.000
2 Li 0.000 0.500 0.500
3 Li 0.200 0.000 0.399
4 Li 0.387 0.000 0.806
5 Li 0.402 0.500 0.297
6 Li 0.598 0.500 0.703
7 Li 0.613 0.000 0.194
8 Li 0.800 0.000 0.601
9 Co 0.301 0.500 0.098
10 Co 0.500 0.000 0.000
11 Co 0.500 0.500 0.500
12 Co 0.699 0.500 0.902
13 Ni 0.097 0.500 0.700
14 Ni 0.099 0.000 0.198
15 Ni 0.300 0.000 0.601
16 Ni 0.700 0.000 0.399
17 Ni 0.901 0.000 0.802
18 Ni 0.903 0.500 0.300
19 O 0.068 0.500 0.607
20 O 0.089 0.000 0.099
21 O 0.129 0.500 0.791
22 O 0.137 0.000 0.300
23 O 0.273 0.000 0.500
24 O 0.281 0.500 0.007
25 O 0.332 0.000 0.701
26 O 0.335 0.500 0.191
27 O 0.470 0.500 0.407
28 O 0.484 0.000 0.906
29 O 0.516 0.000 0.094
30 O 0.530 0.500 0.593
31 O 0.665 0.500 0.809
32 O 0.668 0.000 0.299
33 O 0.719 0.500 0.993
34 O 0.727 0.000 0.500
35 O 0.863 0.000 0.700
36 O 0.871 0.500 0.209
37 O 0.911 0.000 0.901
38 O 0.932 0.500 0.393

Most intense lines, 5 to 70 degrees two-theta, by angle:
- (1 0 2), 2θ = 18.59°, rel. 100
- (1 0 -8), 2θ = 36.55°, rel. 13
- (1 1 -3), 2θ = 36.69°, rel. 26
- (2 0 -6), 2θ = 38.28°, rel. 13
- (0 0 10), 2θ = 44.19°, rel. 21
- (2 1 -1), 2θ = 44.39°, rel. 43
- (3 0 -4), 2θ = 48.45°, rel. 13
- (3 1 1), 2θ = 58.47°, rel. 10
- (2 1 9), 2θ = 64.04°, rel. 11
- (2 1 -11), 2θ = 64.81°, rel. 11

> What is the formula in the second record?

Li4Co2Ni3O10